This entry pairs a crystal structure of U2SeN2 with its simulated XRD peak list. Radiation: CuKα. Structure: a crystal structure in the Materials Project, relaxed with PBE.
Kinematic intensities with the Lorentz-polarization factor, no thermal factor.

Most intense lines, 2θ = 10–90°, in order of falling intensity:
- 2θ 29.86, I = 100.0
- 2θ 37.68, I = 38.9
- 2θ 47.34, I = 29.2
- 2θ 56.98, I = 17.2
- 2θ 63.25, I = 15.4
- 2θ 77.13, I = 15.1
- 2θ 48.32, I = 15.0
- 2θ 25.99, I = 13.9
- 2θ 60.79, I = 11.7
- 2θ 54.79, I = 11.6

Cell and atoms:
```
5
Lattice="3.841 0.000 0.000 -1.920 3.326 0.000 0.000 0.000 6.856" Properties=species:S:1:pos:R:3 pbc="T T T"
U 0.000 2.218 2.025
U 1.920 1.109 4.831
Se 0.000 0.000 0.000
N 0.000 2.218 4.294
N 1.920 1.109 2.563
```